Computed powder diffraction line list
Compound: KAsPb
Radiation: Cu Kα (λ = 1.5418 Å)
Structure: a GGA-PBE-relaxed structure
Intensities are scaled so that the largest is 100.

Principal peaks in the range 2θ = 10–90°, low angle first:
h k l, 2θ (°), I_rel
0 0 3, 13.6, 97
1 0 1, 24.5, 65
0 1 2, 25.7, 80
1 0 4, 30.2, 40
0 1 5, 33.3, 100
1 0 7, 40.4, 30
1 1 0, 42.3, 53
1 1 3, 44.6, 34
1 0 10, 52.8, 34
2 0 5, 54.8, 24

Cell and atoms:
Lattice parameters (Å, degrees): 4.2765 4.2765 19.6002 90.00 90.00 120.00
Fractional positions:
K 0.0000 0.0000 0.0000
K 0.3333 0.6667 0.6667
K 0.6667 0.3333 0.3333
As 0.0000 0.0000 0.2158
As 0.3333 0.6667 0.8825
As 0.6667 0.3333 0.5491
Pb 0.0000 0.0000 0.8105
Pb 0.3333 0.6667 0.4772
Pb 0.6667 0.3333 0.1438

Computed powder diffraction line list
Compound: Cs4AuBrCl2
Radiation: Cu Kα (λ = 1.5418 Å)
Structure: a GGA-PBE-relaxed structure
Intensities are scaled so that the largest is 100.

Principal peaks in the range 2θ = 10–90°, low angle first:
h k l, 2θ (°), I_rel
0 0 2, 12.2, 8
2 0 0, 24.6, 100
2 2 0, 35.0, 79
2 2 4, 43.3, 29
4 0 0, 50.4, 14
4 2 0, 56.9, 38
4 2 4, 62.9, 28
4 4 0, 74.1, 9
4 2 8, 79.4, 11
6 2 0, 84.7, 8

Cell and atoms:
Lattice parameters (Å, degrees): 7.2383 7.2383 14.4958 90.00 90.00 90.00
Fractional positions:
Cs 0.0000 0.0000 0.2495
Cs 0.0000 0.0000 0.7505
Cs 0.0000 0.5000 0.0000
Cs 0.0000 0.5000 0.5000
Cs 0.5000 0.0000 0.0000
Cs 0.5000 0.0000 0.5000
Cs 0.5000 0.5000 0.2505
Cs 0.5000 0.5000 0.7495
Au 0.0000 0.0000 0.5000
Au 0.5000 0.5000 0.0000
Br 0.0000 0.0000 0.0000
Br 0.5000 0.5000 0.5000
Cl 0.0000 0.5000 0.2500
Cl 0.0000 0.5000 0.7500
Cl 0.5000 0.0000 0.2500
Cl 0.5000 0.0000 0.7500